(1)
Structure and theoretical powder diffractogram of LiErP (a DFT-relaxed cell (GGA-PBE, Alexandria); Cu Kα (weighted mean of Kα1 and Kα2)).
Intensities are scaled so that the largest is 100.

Largest 10 diffraction maxima, by angle, 10° ≤ 2θ ≤ 90°:
- 2θ 15.2, I 100
- 2θ 25.3, I 37
- 2θ 27.0, I 35
- 2θ 28.1, I 17
- 2θ 28.6, I 19
- 2θ 30.6, I 17
- 2θ 33.9, I 18
- 2θ 34.8, I 22
- 2θ 36.5, I 24
- 2θ 39.7, I 51

Atomic structure:
a b c (Å): 7.5197 6.8082 8.2229
angles (deg): 59.15 51.01 69.85
Sites, in units of the cell vectors:
Li  0.0265  0.9735  0.2184
Li  0.0316  0.4684  0.2235
Li  0.4684  0.0316  0.2765
Li  0.9735  0.0265  0.7816
Er  0.3230  0.5205  0.3988
Er  0.4923  0.8512  0.7295
Er  0.5205  0.3230  0.7577
Er  0.8512  0.4923  0.9270
P  0.2440  0.7036  0.6772
P  0.5728  0.8748  0.0060
P  0.7036  0.2440  0.3752
P  0.8748  0.5728  0.5464


(2)
Structure and theoretical powder diffractogram of Li2Er2PaS6 (a DFT-relaxed cell (GGA-PBE, Alexandria); Cu Kα (weighted mean of Kα1 and Kα2)).
Intensities are scaled so that the largest is 100.

Largest 10 diffraction maxima, by angle, 10° ≤ 2θ ≤ 90°:
- 2θ 14.4, I 100
- 2θ 26.6, I 69
- 2θ 27.9, I 27
- 2θ 32.7, I 82
- 2θ 35.9, I 31
- 2θ 43.4, I 20
- 2θ 46.2, I 31
- 2θ 47.5, I 28
- 2θ 48.6, I 19
- 2θ 57.8, I 10

Atomic structure:
a b c (Å): 6.8037 6.8037 6.5665
angles (deg): 99.94 99.94 119.88
Sites, in units of the cell vectors:
Li  0.1703  0.8297  0.0000
Li  0.8297  0.1703  0.0000
Er  0.3350  0.6650  0.5000
Er  0.6650  0.3350  0.5000
Pa  0.0000  0.0000  0.5000
S  0.0742  0.4124  0.7439
S  0.2455  0.2455  0.2558
S  0.4124  0.0742  0.7439
S  0.5876  0.9258  0.2561
S  0.7545  0.7545  0.7442
S  0.9258  0.5876  0.2561


(3)
Structure and theoretical powder diffractogram of LiErPb4 (a DFT-relaxed cell (GGA-PBE, Alexandria); Cu Kα (weighted mean of Kα1 and Kα2)).
Intensities are scaled so that the largest is 100.

Largest 10 diffraction maxima, by angle, 10° ≤ 2θ ≤ 90°:
- 2θ 21.6, I 18
- 2θ 32.1, I 100
- 2θ 32.6, I 94
- 2θ 36.0, I 73
- 2θ 40.3, I 27
- 2θ 51.1, I 14
- 2θ 55.1, I 44
- 2θ 61.9, I 31
- 2θ 62.9, I 29
- 2θ 68.1, I 14

Atomic structure:
a b c (Å): 3.5731 4.4756 10.4491
angles (deg): 90.00 90.06 90.00
Sites, in units of the cell vectors:
Li  0.0000  0.0000  0.0000
Er  0.5000  0.5000  0.5000
Pb  0.0005  0.0000  0.3341
Pb  0.9995  0.0000  0.6659
Pb  0.4982  0.5000  0.8435
Pb  0.5018  0.5000  0.1565


(4)
Structure and theoretical powder diffractogram of LiErPb3 (a DFT-relaxed cell (GGA-PBE, Alexandria); Cu Kα (weighted mean of Kα1 and Kα2)).
Intensities are scaled so that the largest is 100.

Largest 10 diffraction maxima, by angle, 10° ≤ 2θ ≤ 90°:
- 2θ 26.8, I 31
- 2θ 29.2, I 40
- 2θ 33.6, I 100
- 2θ 36.4, I 8
- 2θ 40.1, I 23
- 2θ 47.3, I 8
- 2θ 51.9, I 12
- 2θ 54.7, I 26
- 2θ 64.1, I 9
- 2θ 70.7, I 9

Atomic structure:
a b c (Å): 7.4274 7.4274 6.1109
angles (deg): 90.00 90.00 127.15
Sites, in units of the cell vectors:
Li  0.0000  0.0000  0.0000
Li  0.0000  0.0000  0.5000
Er  0.3832  0.6168  0.7500
Er  0.6168  0.3832  0.2500
Pb  0.1432  0.3804  0.2500
Pb  0.1782  0.8218  0.2500
Pb  0.3804  0.1432  0.7500
Pb  0.6196  0.8568  0.2500
Pb  0.8218  0.1782  0.7500
Pb  0.8568  0.6196  0.7500


(5)
Structure and theoretical powder diffractogram of Li2Pm2ErPb2 (a DFT-relaxed cell (GGA-PBE, Alexandria); Cu Kα (weighted mean of Kα1 and Kα2)).
Intensities are scaled so that the largest is 100.

Largest 10 diffraction maxima, by angle, 10° ≤ 2θ ≤ 90°:
- 2θ 21.5, I 53
- 2θ 22.2, I 27
- 2θ 31.2, I 96
- 2θ 33.7, I 87
- 2θ 37.2, I 100
- 2θ 49.3, I 27
- 2θ 51.1, I 27
- 2θ 63.3, I 26
- 2θ 63.7, I 38
- 2θ 64.8, I 27

Atomic structure:
a b c (Å): 9.5833 9.5833 9.5833
angles (deg): 29.24 29.24 29.24
Sites, in units of the cell vectors:
Li  0.1048  0.1048  0.1048
Li  0.8952  0.8952  0.8952
Pm  0.3724  0.3724  0.3724
Pm  0.6276  0.6276  0.6276
Er  0.5000  0.5000  0.5000
Pb  0.2324  0.2324  0.2324
Pb  0.7676  0.7676  0.7676


(6)
Structure and theoretical powder diffractogram of Li2TbEr2Pb2 (a DFT-relaxed cell (GGA-PBE, Alexandria); Cu Kα (weighted mean of Kα1 and Kα2)).
Intensities are scaled so that the largest is 100.

Largest 10 diffraction maxima, by angle, 10° ≤ 2θ ≤ 90°:
- 2θ 21.5, I 57
- 2θ 22.3, I 29
- 2θ 31.9, I 81
- 2θ 34.6, I 94
- 2θ 37.2, I 100
- 2θ 49.8, I 30
- 2θ 51.7, I 31
- 2θ 63.8, I 26
- 2θ 65.4, I 30
- 2θ 65.5, I 36

Atomic structure:
a b c (Å): 9.2491 9.2491 9.2491
angles (deg): 30.30 30.30 30.30
Sites, in units of the cell vectors:
Li  0.0931  0.0931  0.0931
Li  0.9069  0.9069  0.9069
Tb  0.5000  0.5000  0.5000
Er  0.3704  0.3704  0.3704
Er  0.6296  0.6296  0.6296
Pb  0.2366  0.2366  0.2366
Pb  0.7634  0.7634  0.7634


(7)
Structure and theoretical powder diffractogram of LiErTlPb (a DFT-relaxed cell (GGA-PBE, Alexandria); Cu Kα (weighted mean of Kα1 and Kα2)).
Intensities are scaled so that the largest is 100.

Largest 10 diffraction maxima, by angle, 10° ≤ 2θ ≤ 90°:
- 2θ 21.2, I 13
- 2θ 25.8, I 16
- 2θ 33.6, I 100
- 2θ 36.1, I 21
- 2θ 37.5, I 19
- 2θ 43.1, I 13
- 2θ 53.0, I 14
- 2θ 63.3, I 17
- 2θ 65.2, I 15
- 2θ 70.6, I 12

Atomic structure:
a b c (Å): 4.1999 4.7942 4.9766
angles (deg): 90.00 90.00 90.00
Sites, in units of the cell vectors:
Li  0.0000  0.0000  0.0000
Er  0.0000  0.5000  0.5000
Tl  0.5000  0.5000  0.0000
Pb  0.5000  0.0000  0.5000


(8)
Structure and theoretical powder diffractogram of Li3ErPd2 (a DFT-relaxed cell (GGA-PBE, Alexandria); Cu Kα (weighted mean of Kα1 and Kα2)).
Intensities are scaled so that the largest is 100.

Largest 10 diffraction maxima, by angle, 10° ≤ 2θ ≤ 90°:
- 2θ 12.0, I 100
- 2θ 27.6, I 31
- 2θ 29.3, I 15
- 2θ 30.7, I 13
- 2θ 31.4, I 34
- 2θ 34.2, I 19
- 2θ 37.8, I 21
- 2θ 40.2, I 81
- 2θ 44.0, I 19
- 2θ 56.9, I 12

Atomic structure:
a b c (Å): 7.1144 7.1144 8.4405
angles (deg): 117.97 117.97 33.61
Sites, in units of the cell vectors:
Li  0.0603  0.0603  0.3968
Li  0.2770  0.2770  0.4439
Li  0.4180  0.4180  0.3067
Li  0.5820  0.5820  0.6933
Li  0.7230  0.7230  0.5561
Li  0.9397  0.9397  0.6032
Er  0.1340  0.1340  0.0183
Er  0.8660  0.8660  0.9817
Pd  0.2101  0.2101  0.7504
Pd  0.4353  0.4353  0.8103
Pd  0.5647  0.5647  0.1897
Pd  0.7899  0.7899  0.2496


(9)
Structure and theoretical powder diffractogram of Li2Er3Pd5 (a DFT-relaxed cell (GGA-PBE, Alexandria); Cu Kα (weighted mean of Kα1 and Kα2)).
Intensities are scaled so that the largest is 100.

Largest 10 diffraction maxima, by angle, 10° ≤ 2θ ≤ 90°:
- 2θ 31.8, I 69
- 2θ 35.6, I 35
- 2θ 37.6, I 55
- 2θ 38.0, I 100
- 2θ 41.0, I 29
- 2θ 41.3, I 20
- 2θ 49.9, I 21
- 2θ 61.9, I 15
- 2θ 64.2, I 23
- 2θ 72.6, I 15

Atomic structure:
a b c (Å): 9.8556 9.8556 3.6526
angles (deg): 90.00 90.00 90.00
Sites, in units of the cell vectors:
Li  0.1206  0.3794  0.0000
Li  0.3794  0.8794  0.0000
Li  0.6206  0.1206  0.0000
Li  0.8794  0.6206  0.0000
Er  0.0000  0.0000  0.0000
Er  0.1746  0.6746  0.0000
Er  0.3254  0.1746  0.0000
Er  0.5000  0.5000  0.0000
Er  0.6746  0.8254  0.0000
Er  0.8254  0.3254  0.0000
Pd  0.0000  0.5000  0.5000
Pd  0.0709  0.2132  0.5000
Pd  0.2132  0.9291  0.5000
Pd  0.2868  0.4291  0.5000
Pd  0.4291  0.7132  0.5000
Pd  0.5000  0.0000  0.5000
Pd  0.5709  0.2868  0.5000
Pd  0.7132  0.5709  0.5000
Pd  0.7868  0.0709  0.5000
Pd  0.9291  0.7868  0.5000


(10)
Structure and theoretical powder diffractogram of Li5ErPd6 (a DFT-relaxed cell (GGA-PBE, Alexandria); Cu Kα (weighted mean of Kα1 and Kα2)).
Intensities are scaled so that the largest is 100.

Largest 10 diffraction maxima, by angle, 10° ≤ 2θ ≤ 90°:
- 2θ 19.2, I 11
- 2θ 26.0, I 38
- 2θ 30.3, I 34
- 2θ 33.1, I 13
- 2θ 40.4, I 100
- 2θ 43.3, I 21
- 2θ 43.4, I 21
- 2θ 53.6, I 10
- 2θ 62.9, I 10
- 2θ 77.5, I 14

Atomic structure:
a b c (Å): 4.1806 6.8409 6.5964
angles (deg): 90.00 108.60 90.00
Sites, in units of the cell vectors:
Li  0.0000  0.0000  0.0000
Li  0.3214  0.5000  0.6431
Li  0.3333  0.0000  0.6652
Li  0.6667  0.0000  0.3348
Li  0.6786  0.5000  0.3569
Er  0.0000  0.5000  0.0000
Pd  0.1696  0.2355  0.3401
Pd  0.1696  0.7645  0.3401
Pd  0.5000  0.2280  0.0000
Pd  0.5000  0.7720  0.0000
Pd  0.8304  0.2355  0.6599
Pd  0.8304  0.7645  0.6599


(11)
Structure and theoretical powder diffractogram of Li2Er2Pd3 (a DFT-relaxed cell (GGA-PBE, Alexandria); Cu Kα (weighted mean of Kα1 and Kα2)).
Intensities are scaled so that the largest is 100.

Largest 10 diffraction maxima, by angle, 10° ≤ 2θ ≤ 90°:
- 2θ 12.7, I 84
- 2θ 21.8, I 18
- 2θ 30.3, I 58
- 2θ 37.5, I 100
- 2θ 39.7, I 31
- 2θ 40.7, I 60
- 2θ 45.9, I 18
- 2θ 56.5, I 23
- 2θ 67.7, I 17
- 2θ 69.8, I 24

Atomic structure:
a b c (Å): 4.7973 4.7973 7.5273
angles (deg): 108.66 108.66 59.95
Sites, in units of the cell vectors:
Li  0.1322  0.1322  0.3972
Li  0.8678  0.8678  0.6028
Er  0.3892  0.3892  0.1673
Er  0.6108  0.6108  0.8327
Pd  0.0000  0.0000  0.0000
Pd  0.2547  0.2547  0.7652
Pd  0.7453  0.7453  0.2348


(12)
Structure and theoretical powder diffractogram of Li2PmErSe4 (a DFT-relaxed cell (GGA-PBE, Alexandria); Cu Kα (weighted mean of Kα1 and Kα2)).
Intensities are scaled so that the largest is 100.

Largest 10 diffraction maxima, by angle, 10° ≤ 2θ ≤ 90°:
- 2θ 13.6, I 48
- 2θ 25.4, I 38
- 2θ 31.1, I 100
- 2θ 34.1, I 19
- 2θ 44.1, I 38
- 2θ 45.1, I 36
- 2θ 46.4, I 14
- 2θ 54.9, I 20
- 2θ 73.0, I 17
- 2θ 74.4, I 16

Atomic structure:
a b c (Å): 6.9237 4.1080 7.1169
angles (deg): 90.00 110.00 90.00
Sites, in units of the cell vectors:
Li  0.0000  0.0000  0.0000
Li  0.0000  0.5000  0.5000
Pm  0.5000  0.0000  0.5000
Er  0.5000  0.5000  0.0000
Se  0.2433  0.5000  0.2402
Se  0.2470  0.0000  0.7566
Se  0.7530  0.0000  0.2434
Se  0.7567  0.5000  0.7598


(13)
Structure and theoretical powder diffractogram of LiPm2ErTe5 (a DFT-relaxed cell (GGA-PBE, Alexandria); Cu Kα (weighted mean of Kα1 and Kα2)).
Intensities are scaled so that the largest is 100.

Largest 10 diffraction maxima, by angle, 10° ≤ 2θ ≤ 90°:
- 2θ 24.9, I 14
- 2θ 29.2, I 100
- 2θ 29.5, I 36
- 2θ 31.5, I 13
- 2θ 34.4, I 54
- 2θ 35.3, I 12
- 2θ 41.2, I 26
- 2θ 42.0, I 14
- 2θ 51.5, I 15
- 2θ 65.4, I 13

Atomic structure:
a b c (Å): 9.5845 9.5845 13.1963
angles (deg): 90.00 90.00 153.58
Sites, in units of the cell vectors:
Li  0.0589  0.9411  0.5000
Li  0.9411  0.0589  0.0000
Pm  0.3732  0.6268  0.3381
Pm  0.3941  0.6059  0.7223
Pm  0.6059  0.3941  0.2223
Pm  0.6268  0.3732  0.8381
Er  0.3026  0.6974  0.0462
Er  0.6974  0.3026  0.5462
Te  0.0019  0.9981  0.8197
Te  0.1391  0.8609  0.0351
Te  0.1894  0.8106  0.3826
Te  0.2176  0.7824  0.7044
Te  0.4526  0.5474  0.1091
Te  0.5474  0.4526  0.6091
Te  0.7824  0.2176  0.2044
Te  0.8106  0.1894  0.8826
Te  0.8609  0.1391  0.5351
Te  0.9981  0.0019  0.3197


(14)
Structure and theoretical powder diffractogram of LiPr4Er4 (a DFT-relaxed cell (GGA-PBE, Alexandria); Cu Kα (weighted mean of Kα1 and Kα2)).
Intensities are scaled so that the largest is 100.

Largest 10 diffraction maxima, by angle, 10° ≤ 2θ ≤ 90°:
- 2θ 27.6, I 100
- 2θ 31.0, I 44
- 2θ 32.2, I 79
- 2θ 35.4, I 52
- 2θ 47.8, I 22
- 2θ 48.5, I 13
- 2θ 49.4, I 20
- 2θ 54.6, I 23
- 2θ 55.9, I 16
- 2θ 64.1, I 20

Atomic structure:
a b c (Å): 7.6912 7.6912 7.6912
angles (deg): 131.21 117.89 82.73
Sites, in units of the cell vectors:
Li  0.0000  0.0000  0.0000
Pr  0.0000  0.5000  0.5000
Pr  0.3197  0.0000  0.3197
Pr  0.5000  0.5000  0.0000
Pr  0.6803  0.0000  0.6803
Er  0.1083  0.0083  0.6267
Er  0.3816  0.4815  0.3733
Er  0.6184  0.9917  0.1000
Er  0.8917  0.5185  0.9000